Record 1
Simulated XRD peak list
Compound: CsPbIBr2
Radiation: λ = 1.5418 Å (Cu Kα)
Structure: DFT lattice parameters and positions (PBE)
Neutral-atom scattering factors, no anomalous dispersion.

Structural model:
```
5
Lattice="5.9961 0.0000 0.0000 0.0000 5.9961 0.0000 0.0000 0.0000 6.4054" Properties=species:S:1:pos:R:3 pbc="T T T"
Cs 0.0000 0.0000 0.0000
Pb 2.9980 2.9980 3.2027
I 2.9980 2.9980 0.0000
Br 0.0000 2.9980 3.2027
Br 2.9980 0.0000 3.2027
```

Principal peaks in the range 10 to 80 degrees two-theta, sorted by position:
| d [Å] | I (rel.) |
| --- | --- |
| 5.996 | 52 |
| 4.377 | 56 |
| 4.240 | 52 |
| 3.536 | 38 |
| 3.203 | 60 |
| 2.998 | 100 |
| 2.189 | 82 |
| 1.768 | 43 |



Record 2
Simulated XRD peak list
Compound: Cs2PdI4Br2
Radiation: λ = 1.5418 Å (Cu Kα)
Structure: DFT lattice parameters and positions (PBE)
Neutral-atom scattering factors, no anomalous dispersion.

Structural model:
```
9
Lattice="-3.9900 3.9900 5.9224 3.9900 -3.9900 5.9224 3.9900 3.9900 -5.9224" Properties=species:S:1:pos:R:3 pbc="T T T"
Cs 3.9900 0.0000 2.9612
Cs 0.0000 3.9900 2.9612
Pd 0.0000 0.0000 0.0000
I 1.9287 1.9287 0.0000
I 2.0613 -2.0613 5.9224
I -2.0613 2.0613 5.9224
I 2.0613 2.0613 5.9224
Br 0.0000 0.0000 2.5277
Br 0.0000 0.0000 9.3172
```

Principal peaks in the range 10 to 80 degrees two-theta, sorted by position:
| d [Å] | I (rel.) |
| --- | --- |
| 6.618 | 25 |
| 3.309 | 100 |
| 2.961 | 27 |
| 2.821 | 54 |
| 2.043 | 37 |
| 1.995 | 19 |
| 1.709 | 28 |
| 1.655 | 19 |



Record 3
Simulated XRD peak list
Compound: Cs3Pu2I2Br5
Radiation: λ = 1.5418 Å (Cu Kα)
Structure: DFT lattice parameters and positions (PBE)
Neutral-atom scattering factors, no anomalous dispersion.

Structural model:
```
12
Lattice="-2.9410 2.9410 15.5660 2.9410 -2.9410 15.5660 2.9410 2.9410 -15.5660" Properties=species:S:1:pos:R:3 pbc="T T T"
Cs 0.0000 0.0000 0.0000
Cs 0.0000 0.0000 5.5211
Cs 0.0000 0.0000 25.6109
Pu 0.0000 0.0000 12.5927
Pu 0.0000 0.0000 18.5392
I 0.0000 0.0000 9.4079
I 0.0000 0.0000 21.7241
Br 2.9410 0.0000 2.8639
Br 2.9410 0.0000 12.7021
Br 0.0000 0.0000 15.5660
Br 0.0000 2.9410 2.8639
Br 0.0000 2.9410 12.7021
```

Principal peaks in the range 10 to 80 degrees two-theta, sorted by position:
| d [Å] | I (rel.) |
| --- | --- |
| 5.780 | 40 |
| 4.276 | 45 |
| 4.159 | 76 |
| 3.548 | 32 |
| 3.113 | 38 |
| 2.941 | 100 |
| 2.138 | 54 |
| 2.080 | 37 |



Record 4
Simulated XRD peak list
Compound: Cs2RbIBr4
Radiation: λ = 1.5418 Å (Cu Kα)
Structure: DFT lattice parameters and positions (PBE)
Neutral-atom scattering factors, no anomalous dispersion.

Structural model:
```
16
Lattice="6.7659 -8.0137 0.0000 6.7659 8.0137 0.0000 -6.2517 0.0000 7.5202" Properties=species:S:1:pos:R:3 pbc="T T T"
Cs 0.0000 0.0000 0.0000
Cs -3.1259 0.0000 3.7601
Cs 3.3830 4.0068 0.0000
Cs 0.2571 -4.0068 3.7601
Rb 6.7659 0.0000 0.0000
Rb 3.6401 0.0000 3.7601
I 0.2571 4.0068 3.7601
I 3.3830 -4.0068 0.0000
Br 2.9970 3.9124 3.5564
Br 3.4639 0.5253 0.0566
Br 0.3380 -0.5253 3.8167
Br 7.4091 3.9124 0.2037
Br -0.1289 -3.9124 7.3165
Br 6.9422 0.5253 3.7035
Br 3.8163 -0.5253 7.4636
Br 4.2832 -3.9124 3.9638
```

Principal peaks in the range 10 to 80 degrees two-theta, sorted by position:
| d [Å] | I (rel.) |
| --- | --- |
| 4.007 | 100 |
| 3.760 | 96 |
| 3.375 | 57 |
| 2.742 | 72 |
| 2.581 | 47 |
| 2.431 | 26 |
| 2.182 | 25 |
| 2.078 | 28 |



Record 5
Simulated XRD peak list
Compound: Cs2SeIBr6
Radiation: λ = 1.5418 Å (Cu Kα)
Structure: DFT lattice parameters and positions (PBE)
Neutral-atom scattering factors, no anomalous dispersion.

Structural model:
```
10
Lattice="-4.0415 4.0415 6.1465 4.0415 -4.0415 6.1465 4.0415 4.0415 -6.1465" Properties=species:S:1:pos:R:3 pbc="T T T"
Cs 4.0415 0.0000 3.0732
Cs 0.0000 4.0415 3.0732
Se 0.0000 0.0000 0.0000
I 0.0000 0.0000 6.1465
Br 0.0000 0.0000 2.6163
Br 1.9038 1.9038 0.0000
Br 2.1377 -2.1377 6.1465
Br -2.1377 2.1377 6.1465
Br 2.1377 2.1377 6.1465
Br 0.0000 0.0000 9.6766
```

Principal peaks in the range 10 to 80 degrees two-theta, sorted by position:
| d [Å] | I (rel.) |
| --- | --- |
| 4.186 | 61 |
| 4.042 | 25 |
| 3.377 | 96 |
| 3.073 | 54 |
| 2.858 | 100 |
| 2.093 | 70 |
| 2.021 | 35 |
| 1.688 | 34 |



Record 6
Simulated XRD peak list
Compound: Cs3Sn2I4Br3
Radiation: λ = 1.5418 Å (Cu Kα)
Structure: DFT lattice parameters and positions (PBE)
Neutral-atom scattering factors, no anomalous dispersion.

Structural model:
```
12
Lattice="-2.9579 15.5838 3.1447 2.9579 -15.5838 3.1447 2.9579 15.5838 -3.1447" Properties=species:S:1:pos:R:3 pbc="T T T"
Cs 0.0000 0.0000 0.0000
Cs 2.9579 -10.0394 2.4694
Cs 2.9579 10.0394 2.4694
Sn 2.9579 -3.0182 2.5113
Sn 2.9579 3.0182 2.5113
I 2.9579 -6.1521 2.5268
I 2.9579 6.1521 2.5268
I 0.0000 12.7321 2.4925
I 0.0000 18.4354 2.4925
Br 2.9579 12.5399 -0.7019
Br 2.9579 0.0000 2.4386
Br 0.0000 3.0439 2.4429
```

Principal peaks in the range 10 to 80 degrees two-theta, sorted by position:
| d [Å] | I (rel.) |
| --- | --- |
| 4.304 | 74 |
| 3.317 | 100 |
| 3.145 | 74 |
| 3.117 | 55 |
| 2.958 | 73 |
| 2.155 | 51 |
| 2.146 | 38 |
| 1.773 | 49 |



Record 7
Simulated XRD peak list
Compound: Cs2TcI5Br
Radiation: λ = 1.5418 Å (Cu Kα)
Structure: DFT lattice parameters and positions (PBE)
Neutral-atom scattering factors, no anomalous dispersion.

Structural model:
```
9
Lattice="-4.1114 4.1114 5.9045 4.1114 -4.1114 5.9045 4.1114 4.1114 -5.9045" Properties=species:S:1:pos:R:3 pbc="T T T"
Cs 4.1114 0.0000 0.0000
Cs 0.0000 4.1114 0.0000
Tc 0.0000 0.0000 2.9349
I 2.1599 2.1599 -2.9616
I 1.9516 -1.9516 2.9430
I 0.0000 0.0000 5.6857
I -1.9516 1.9516 2.9430
I 1.9516 1.9516 2.9430
Br 0.0000 0.0000 0.3816
```

Principal peaks in the range 10 to 80 degrees two-theta, sorted by position:
| d [Å] | I (rel.) |
| --- | --- |
| 6.748 | 23 |
| 3.374 | 100 |
| 2.952 | 26 |
| 2.907 | 52 |
| 2.071 | 36 |
| 2.056 | 19 |
| 1.756 | 28 |
| 1.687 | 18 |



Record 8
Simulated XRD peak list
Compound: Cs8TeI4Br3
Radiation: λ = 1.5418 Å (Cu Kα)
Structure: DFT lattice parameters and positions (PBE)
Neutral-atom scattering factors, no anomalous dispersion.

Structural model:
```
16
Lattice="5.4661 3.1559 8.7699 -5.4661 3.1559 8.7699 0.0000 -6.3117 8.7699" Properties=species:S:1:pos:R:3 pbc="T T T"
Cs -2.8123 -1.6237 15.2411
Cs 0.0000 0.0000 6.4438
Cs 0.0000 -3.2474 11.0685
Cs -2.8123 1.6237 11.0685
Cs 2.8123 -1.6237 15.2411
Cs 0.0000 3.2474 15.2411
Cs 0.0000 0.0000 19.8659
Cs 2.8123 1.6237 11.0685
Te 0.0000 0.0000 13.1548
I 0.0000 0.0000 0.0000
I -2.7331 -1.5779 8.7699
I -2.7331 1.5779 17.5397
I 0.0000 3.1559 8.7699
Br -5.4661 0.0000 13.1548
Br -2.7331 1.5779 4.3849
Br 2.7331 1.5779 4.3849
```

Principal peaks in the range 10 to 80 degrees two-theta, sorted by position:
| d [Å] | I (rel.) |
| --- | --- |
| 3.842 | 100 |
| 2.733 | 41 |
| 2.701 | 39 |
| 2.227 | 22 |
| 1.921 | 14 |
| 1.726 | 20 |
| 1.710 | 19 |
| 1.572 | 14 |



Please write out number 8 again, unchanged.
Simulated XRD peak list
Compound: Cs8TeI4Br3
Radiation: λ = 1.5418 Å (Cu Kα)
Structure: DFT lattice parameters and positions (PBE)
Neutral-atom scattering factors, no anomalous dispersion.

Structural model:
```
16
Lattice="5.4661 3.1559 8.7699 -5.4661 3.1559 8.7699 0.0000 -6.3117 8.7699" Properties=species:S:1:pos:R:3 pbc="T T T"
Cs -2.8123 -1.6237 15.2411
Cs 0.0000 0.0000 6.4438
Cs 0.0000 -3.2474 11.0685
Cs -2.8123 1.6237 11.0685
Cs 2.8123 -1.6237 15.2411
Cs 0.0000 3.2474 15.2411
Cs 0.0000 0.0000 19.8659
Cs 2.8123 1.6237 11.0685
Te 0.0000 0.0000 13.1548
I 0.0000 0.0000 0.0000
I -2.7331 -1.5779 8.7699
I -2.7331 1.5779 17.5397
I 0.0000 3.1559 8.7699
Br -5.4661 0.0000 13.1548
Br -2.7331 1.5779 4.3849
Br 2.7331 1.5779 4.3849
```

Principal peaks in the range 10 to 80 degrees two-theta, sorted by position:
| d [Å] | I (rel.) |
| --- | --- |
| 3.842 | 100 |
| 2.733 | 41 |
| 2.701 | 39 |
| 2.227 | 22 |
| 1.921 | 14 |
| 1.726 | 20 |
| 1.710 | 19 |
| 1.572 | 14 |